1.
This entry pairs a crystal structure of TeMoCl7O with its simulated powder X-ray diffraction pattern. Radiation: Cu Kα (λ = 1.5418 Å). Structure: the GGA+U geometry in the Materials Project.
Neutral-atom scattering factors, no anomalous dispersion.

Cell and atoms:
```
data_TeMoCl7O
_chemical_formula_sum 'Te4 Mo4 Cl28 O4'
_symmetry_space_group_name_H-M 'P 1 21/c 1'
_symmetry_Int_Tables_number 14
_cell_length_a 7.5745
_cell_length_b 13.0703
_cell_length_c 12.0966
_cell_angle_alpha 90.00
_cell_angle_beta 94.52
_cell_angle_gamma 90.00
loop_
_symmetry_equiv_pos_as_xyz
'x,y,z'
'-x,-y,-z'
'-x,y+1/2,-z+1/2'
'x,-y+1/2,z+1/2'
loop_
_atom_site_label
_atom_site_type_symbol
_atom_site_fract_x
_atom_site_fract_y
_atom_site_fract_z
Te1 Te 0.2253 0.1520 0.3736
Mo1 Mo 0.4518 0.5915 0.6405
Cl1 Cl 0.0005 0.0959 0.2416
Cl2 Cl 0.0281 0.2337 0.4861
Cl3 Cl 0.2465 0.0008 0.4810
Cl4 Cl 0.2765 0.1525 0.7626
Cl5 Cl 0.2769 0.5006 0.4985
Cl6 Cl 0.4763 0.7299 0.5101
Cl7 Cl 0.4913 0.5681 0.2617
O1 O 0.2948 0.6400 0.7177
```

Principal peaks in the range 10° ≤ 2θ ≤ 80°, by angle:
| two_theta | intensity | h k l |
| --- | --- | --- |
| 11.72 | 30 | 1 0 0 |
| 13.54 | 54 | 1 1 0 |
| 15.85 | 67 | 1 1 1 |
| 16.19 | 100 | 0 1 2 |
| 19.06 | 94 | 1 2 -1 |
| 25.21 | 44 | 1 1 -3 |
| 30.20 | 32 | 2 2 -2 |
| 31.13 | 35 | 0 4 2 |
| 32.00 | 32 | 2 2 2 |
| 48.22 | 44 | 2 6 0 |

=====

2.
This entry pairs a crystal structure of MgMn3SnO8 with its simulated powder X-ray diffraction pattern. Radiation: Cu Kα (λ = 1.5418 Å). Structure: the GGA+U geometry in the Materials Project.
Neutral-atom scattering factors, no anomalous dispersion.

Cell and atoms:
```
data_MgMn3SnO8
_chemical_formula_sum 'Mg1 Mn3 Sn1 O8'
_symmetry_space_group_name_H-M 'P 1'
_symmetry_Int_Tables_number 1
_cell_length_a 6.0296
_cell_length_b 6.0537
_cell_length_c 6.0884
_cell_angle_alpha 91.92
_cell_angle_beta 118.05
_cell_angle_gamma 119.23
loop_
_symmetry_equiv_pos_as_xyz
'x,y,z'
loop_
_atom_site_label
_atom_site_type_symbol
_atom_site_fract_x
_atom_site_fract_y
_atom_site_fract_z
Mg1 Mg 0.0000 0.0000 0.0000
Mn1 Mn 0.2233 0.3587 0.6159
Mn2 Mn 0.2358 0.8578 0.6260
Mn3 Mn 0.7361 0.3631 0.6157
Sn1 Sn 0.7407 0.3721 0.1261
O1 O 0.1666 0.5486 0.8212
O2 O 0.2144 0.6018 0.4060
O3 O 0.2585 0.1270 0.8519
O4 O 0.2742 0.1552 0.4055
O5 O 0.7030 0.1164 0.8431
O6 O 0.7181 0.1437 0.3705
O7 O 0.7439 0.5936 0.8756
O8 O 0.7818 0.6120 0.4246
```

Principal peaks in the range 10° ≤ 2θ ≤ 80°, by angle:
| two_theta | intensity | h k l |
| --- | --- | --- |
| 17.84 | 100 | 0 1 0 |
| 17.97 | 40 | 1 0 -1 |
| 20.35 | 11 | 1 0 0 |
| 33.84 | 21 | 1 0 1 |
| 34.11 | 25 | 2 -1 0 |
| 34.37 | 14 | 1 1 -2 |
| 34.80 | 12 | -1 1 2 |
| 41.37 | 50 | 0 2 -2 |
| 42.86 | 23 | -2 2 2 |
| 60.60 | 17 | 2 2 -2 |

=====

What is the formula in the second record?
MgMn3SnO8